(1)
Rb6SeI2O: theoretical PXRD pattern (CuKα), based on a cell relaxed with GGA-PBE.
No peak broadening, texture or thermal motion is included.

Cell and atoms:
Unit cell a=8.341 b=12.130 c=9.026 alpha=90.00 beta=90.00 gamma=90.00
Space group Pmmn (No. 59, origin choice 2)
Unique sites:
1 Rb 0.002 0.250 0.074
2 Rb 0.018 0.750 0.490
3 Rb 0.250 0.519 0.718
4 Se 0.250 0.250 0.787
5 I 0.250 0.026 0.301
6 O 0.250 0.750 0.724

Peak list (8 most intense, 2θ = 15–90°, sorted by position)
- 24.59°, 3.620 Å, intensity 79.4, hkl 0 2 2
- 25.93°, 3.436 Å, intensity 100.0, hkl 2 2 0
- 29.15°, 3.063 Å, intensity 90.8, hkl 2 0 2
- 29.45°, 3.032 Å, intensity 53.9, hkl 0 4 0
- 33.24°, 2.695 Å, intensity 27.3, hkl 0 2 3
- 41.92°, 2.155 Å, intensity 55.3, hkl 2 4 2
- 50.49°, 1.808 Å, intensity 24.0, hkl 4 2 2
- 57.68°, 1.598 Å, intensity 25.5, hkl 2 2 5

(2)
Rb2SeI6O: theoretical PXRD pattern (CuKα), based on a cell relaxed with GGA-PBE.
No peak broadening, texture or thermal motion is included.

Cell and atoms:
Unit cell a=8.822 b=8.822 c=10.136 alpha=90.00 beta=90.00 gamma=90.00
Space group I4/mmm (No. 139)
Unique sites:
1 Rb 0.000 0.500 0.250
2 Se 0.000 0.000 0.000
3 I 0.000 0.000 0.292
4 I 0.227 0.227 0.000
5 O 0.000 0.000 0.500

Peak list (8 most intense, 2θ = 15–90°, sorted by position)
- 26.79°, 3.327 Å, intensity 100.0, hkl 2 0 2
- 28.62°, 3.119 Å, intensity 68.1, hkl 2 2 0
- 35.43°, 2.534 Å, intensity 15.9, hkl 0 0 4
- 40.92°, 2.206 Å, intensity 23.5, hkl 4 0 0
- 45.79°, 1.982 Å, intensity 14.8, hkl 3 2 3
- 46.16°, 1.967 Å, intensity 27.1, hkl 2 2 4
- 49.59°, 1.838 Å, intensity 29.5, hkl 4 2 2
- 55.21°, 1.664 Å, intensity 14.4, hkl 4 0 4